For KMn2Nb2O7, the PBE+U geometry in Alexandria gives the simulated X-ray powder pattern in this record (copper Kα).

Largest 10 diffraction maxima, in order of rising 2θ, 15 to 90 degrees two-theta:
d 4.096, 21.70 deg, I 55.9; d 3.922, 22.67 deg, I 79.7; d 3.374, 26.42 deg, I 68.8; d 3.120, 28.61 deg, I 39.5; d 2.794, 32.03 deg, I 100.0; d 2.770, 32.32 deg, I 81.6; d 2.099, 43.10 deg, I 65.5; d 2.005, 45.21 deg, I 56.2; d 1.846, 49.36 deg, I 38.1; d 1.629, 56.48 deg, I 38.6

Cell and atoms:
```
data_KMn2Nb2O7
_cell_length_a 4.011
_cell_length_b 4.198
_cell_length_c 18.718
_cell_angle_alpha 90.00
_cell_angle_beta 90.00
_cell_angle_gamma 90.00
_symmetry_space_group_name_H-M 'I m m m'
_symmetry_Int_Tables_number 71
_symmetry_space_group_name_Hall '-I 2 2'
loop_
_atom_site_label
_atom_site_fract_x
_atom_site_fract_y
_atom_site_fract_z
_atom_site_occupancy
K1 0.000 0.000 0.000 1
Mn1 0.000 0.500 0.272 1
Nb1 0.000 0.000 0.394 1
O1 0.000 0.000 0.276 1
O2 0.000 0.000 0.500 1
O3 0.000 0.500 0.110 1
O4 0.000 0.500 0.388 1
```